[1]
Starting from DFT lattice parameters and positions (GGA-PBE), the X-ray diffraction stick pattern of Ta2Pd6Pt3 was computed for Cu Ka.
Kinematic intensities with the Lorentz-polarization factor, no thermal factor.

Structure:
```
Ta2Pd6Pt3
1.0
4.1950 -2.4234 0.0000
4.1950 2.4234 0.0000
-0.0314 0.0000 18.1453
Ta Pd Pt
4 12 6
Direct
0.1673 0.1677 0.5000 Ta
0.1677 0.1673 0.0000 Ta
0.8323 0.8327 0.0000 Ta
0.8327 0.8323 0.5000 Ta
0.1650 0.8352 0.6172 Pd
0.1648 0.8350 0.8828 Pd
0.1680 0.4981 0.3827 Pd
0.1686 0.4982 0.1173 Pd
0.4981 0.1680 0.8827 Pd
0.4982 0.1686 0.6173 Pd
0.5018 0.8314 0.3827 Pd
0.5019 0.8320 0.1173 Pd
0.8314 0.5018 0.8827 Pd
0.8320 0.5019 0.6173 Pd
0.8352 0.1650 0.1172 Pd
0.8350 0.1648 0.3828 Pd
0.1662 0.5008 0.7500 Pt
0.1673 0.8327 0.2500 Pt
0.4992 0.8338 0.7500 Pt
0.5008 0.1662 0.2500 Pt
0.8327 0.1673 0.7500 Pt
0.8338 0.4992 0.2500 Pt
```

Principal peaks in the range 2θ = 5–70°, sorted by position:
2θ = 9.7°, I = 11.9
2θ = 23.4°, I = 14.4
2θ = 38.5°, I = 46.9
2θ = 39.7°, I = 44.6
2θ = 40.1°, I = 100.0
2θ = 42.3°, I = 14.3
2θ = 45.0°, I = 49.8
2θ = 48.1°, I = 36.0
2θ = 66.9°, I = 30.6
2θ = 68.8°, I = 16.2

=====

[2]
Starting from DFT lattice parameters and positions (GGA-PBE), the X-ray diffraction stick pattern of PmScPb was computed for Cu Ka.
Kinematic intensities with the Lorentz-polarization factor, no thermal factor.

Structure:
```
PmScPb
1.0
-1.9315 1.9315 5.6681
1.9315 -1.9315 5.6681
1.9315 1.9315 -5.6681
Pm Sc Pb
1 1 1
Direct
0.0000 0.0000 0.0000 Pm
0.3131 0.3131 0.0000 Sc
0.6799 0.6799 0.0000 Pb
```

Principal peaks in the range 2θ = 5–70°, sorted by position:
2θ = 15.6°, I = 15.0
2θ = 24.3°, I = 31.5
2θ = 32.8°, I = 53.7
2θ = 33.2°, I = 100.0
2θ = 36.5°, I = 8.3
2θ = 46.2°, I = 9.8
2θ = 47.0°, I = 19.7
2θ = 58.8°, I = 39.0
2θ = 59.5°, I = 16.7
2θ = 69.6°, I = 10.5

=====

[3]
Starting from DFT lattice parameters and positions (GGA-PBE), the X-ray diffraction stick pattern of YHgPd3 was computed for Cu Ka.
Kinematic intensities with the Lorentz-polarization factor, no thermal factor.

Structure:
```
YHgPd3
1.0
3.3192 -5.7412 0.0000
3.3192 5.7412 0.0000
0.0000 0.0000 5.5171
Y Hg Pd
2 2 6
Direct
0.1664 0.8336 0.7500 Y
0.8336 0.1664 0.2500 Y
0.5000 0.5000 0.0000 Hg
0.5000 0.5000 0.5000 Hg
0.0966 0.2979 0.7500 Pd
0.2979 0.0966 0.2500 Pd
0.2981 0.7019 0.2500 Pd
0.7019 0.2981 0.7500 Pd
0.7021 0.9034 0.7500 Pd
0.9034 0.7021 0.2500 Pd
```

Principal peaks in the range 2θ = 5–70°, sorted by position:
2θ = 15.4°, I = 63.1
2θ = 26.9°, I = 57.0
2θ = 35.2°, I = 100.0
2θ = 36.1°, I = 74.3
2θ = 41.6°, I = 76.8
2θ = 45.6°, I = 78.6
2θ = 50.4°, I = 21.8
2θ = 55.4°, I = 30.2
2θ = 59.7°, I = 21.0
2θ = 67.9°, I = 42.8

=====

[4]
Starting from DFT lattice parameters and positions (GGA-PBE), the X-ray diffraction stick pattern of Ce2Al5Rh3 was computed for Cu Ka.
Kinematic intensities with the Lorentz-polarization factor, no thermal factor.

Structure:
```
Ce2Al5Rh3
1.0
2.1309 -12.5410 0.0000
2.1309 12.5410 0.0000
0.0000 0.0000 6.8030
Ce Al Rh
4 10 6
Direct
0.0238 0.9762 0.5000 Ce
0.3248 0.6752 0.5712 Ce
0.6752 0.3248 0.0712 Ce
0.9762 0.0238 0.0000 Ce
0.1005 0.8995 0.8773 Al
0.2061 0.7939 0.3911 Al
0.2108 0.7892 0.7815 Al
0.3697 0.6303 0.0387 Al
0.4441 0.5559 0.6643 Al
0.5559 0.4441 0.1643 Al
0.6303 0.3697 0.5387 Al
0.7892 0.2108 0.2815 Al
0.7939 0.2061 0.8911 Al
0.8995 0.1005 0.3773 Al
0.1068 0.8932 0.2667 Rh
0.2696 0.7304 0.0888 Rh
0.4520 0.5480 0.2828 Rh
0.5480 0.4520 0.7828 Rh
0.7304 0.2696 0.5888 Rh
0.8932 0.1068 0.7667 Rh
```

Principal peaks in the range 2θ = 5–70°, sorted by position:
2θ = 25.0°, I = 36.6
2θ = 26.9°, I = 29.2
2θ = 34.0°, I = 30.8
2θ = 35.3°, I = 78.5
2θ = 35.4°, I = 100.0
2θ = 38.3°, I = 46.2
2θ = 38.6°, I = 24.2
2θ = 42.4°, I = 54.5
2θ = 46.7°, I = 19.8
2θ = 58.4°, I = 20.5

=====

[5]
Starting from DFT lattice parameters and positions (GGA-PBE), the X-ray diffraction stick pattern of PaCdPd3 was computed for Cu Ka.
Kinematic intensities with the Lorentz-polarization factor, no thermal factor.

Structure:
```
PaCdPd3
1.0
6.3189 0.0000 0.0000
0.0000 7.5865 0.0000
-5.5442 0.0000 7.9952
Pa Cd Pd
4 4 12
Direct
0.2157 0.0946 0.3030 Pa
0.2157 0.4054 0.8030 Pa
0.7843 0.5946 0.1970 Pa
0.7843 0.9054 0.6970 Pa
0.1332 0.6804 0.0468 Cd
0.1332 0.8196 0.5468 Cd
0.8668 0.1804 0.4532 Cd
0.8668 0.3196 0.9532 Cd
0.1889 0.0617 0.9712 Pd
0.1889 0.4383 0.4712 Pd
0.3650 0.7432 0.3885 Pd
0.3650 0.7568 0.8885 Pd
0.3858 0.1066 0.7552 Pd
0.3858 0.3934 0.2552 Pd
0.6142 0.6066 0.7448 Pd
0.6142 0.8934 0.2448 Pd
0.6350 0.2432 0.1115 Pd
0.6350 0.2568 0.6115 Pd
0.8111 0.5617 0.5288 Pd
0.8111 0.9383 0.0288 Pd
```

Principal peaks in the range 2θ = 5–70°, sorted by position:
2θ = 33.8°, I = 100.0
2θ = 34.5°, I = 25.6
2θ = 35.3°, I = 32.9
2θ = 35.7°, I = 22.1
2θ = 36.5°, I = 62.1
2θ = 37.3°, I = 58.0
2θ = 38.0°, I = 42.4
2θ = 39.6°, I = 92.4
2θ = 42.3°, I = 24.3
2θ = 45.2°, I = 25.0

=====

[6]
Starting from DFT lattice parameters and positions (GGA-PBE), the X-ray diffraction stick pattern of ScCdCoAg was computed for Cu Ka.
Kinematic intensities with the Lorentz-polarization factor, no thermal factor.

Structure:
```
ScCdCoAg
1.0
0.0000 3.2636 3.2636
3.2636 0.0000 3.2636
3.2636 3.2636 0.0000
Sc Cd Co Ag
1 1 1 1
Direct
0.0000 0.0000 0.0000 Sc
0.5000 0.5000 0.5000 Cd
0.2500 0.2500 0.2500 Co
0.7500 0.7500 0.7500 Ag
```

Principal peaks in the range 2θ = 5–70°, sorted by position:
2θ = 23.6°, I = 16.3
2θ = 39.0°, I = 100.0
2θ = 46.1°, I = 8.4
2θ = 56.4°, I = 16.0
2θ = 62.0°, I = 3.4

=====

[7]
Starting from DFT lattice parameters and positions (GGA-PBE), the X-ray diffraction stick pattern of Tb6TmSc3 was computed for Cu Ka.
Kinematic intensities with the Lorentz-polarization factor, no thermal factor.

Structure:
```
Tb6TmSc3
1.0
3.5357 0.0000 0.0000
1.7650 10.6868 0.0000
0.0100 4.7839 15.7371
Tb Tm Sc
12 2 6
Direct
0.0167 0.4661 0.3646 Tb
0.1835 0.1327 0.9408 Tb
0.1828 0.1343 0.4417 Tb
0.3838 0.7308 0.2421 Tb
0.3853 0.7285 0.7455 Tb
0.4174 0.6664 0.9579 Tb
0.5826 0.3336 0.0421 Tb
0.6147 0.2715 0.2545 Tb
0.6162 0.2692 0.7579 Tb
0.8172 0.8657 0.5583 Tb
0.8165 0.8673 0.0592 Tb
0.9833 0.5339 0.6354 Tb
0.2166 0.0675 0.6596 Tm
0.7834 0.9325 0.3404 Tm
0.0172 0.4655 0.8592 Sc
0.2176 0.0646 0.1591 Sc
0.4168 0.6670 0.4561 Sc
0.5832 0.3330 0.5439 Sc
0.7824 0.9354 0.8409 Sc
0.9828 0.5345 0.1408 Sc
```

Principal peaks in the range 2θ = 5–70°, sorted by position:
2θ = 29.2°, I = 24.0
2θ = 32.5°, I = 24.0
2θ = 33.5°, I = 100.0
2θ = 44.3°, I = 15.3
2θ = 51.7°, I = 6.5
2θ = 51.8°, I = 12.9
2θ = 58.6°, I = 19.6
2θ = 62.4°, I = 7.3
2θ = 62.5°, I = 14.4
2θ = 63.1°, I = 10.3

=====

[8]
Starting from DFT lattice parameters and positions (GGA-PBE), the X-ray diffraction stick pattern of TlRe2PdO8 was computed for Cu Ka.
Kinematic intensities with the Lorentz-polarization factor, no thermal factor.

Structure:
```
TlRe2PdO8
1.0
2.7414 1.5827 8.8350
-2.7414 1.5827 8.8350
0.0000 -3.1654 8.8350
Tl Re Pd O
1 2 1 8
Direct
0.0000 0.0000 0.0000 Tl
0.2448 0.2448 0.2448 Re
0.7552 0.7552 0.7552 Re
0.5000 0.5000 0.5000 Pd
0.0982 0.4933 0.7384 O
0.2616 0.5067 0.9018 O
0.3115 0.3115 0.3115 O
0.4933 0.7384 0.0982 O
0.5067 0.9018 0.2616 O
0.6885 0.6885 0.6885 O
0.7384 0.0982 0.4933 O
0.9018 0.2616 0.5067 O
```

Principal peaks in the range 2θ = 5–70°, sorted by position:
2θ = 23.0°, I = 100.0
2θ = 32.7°, I = 38.8
2θ = 33.0°, I = 32.8
2θ = 40.4°, I = 20.2
2θ = 47.1°, I = 13.6
2θ = 52.9°, I = 20.5
2θ = 53.3°, I = 19.5
2θ = 58.3°, I = 9.9
2θ = 58.5°, I = 13.5
2θ = 59.1°, I = 6.9